1.
This entry pairs a crystal structure of SrPuSnO6 with its simulated powder XRD pattern. Radiation: Cu Kα X-rays. Structure: a crystal structure in Alexandria, relaxed with GGA-PBE.
Neutral-atom scattering factors, no anomalous dispersion.

Peak list (10 most intense, 15° ≤ 2θ ≤ 90°, most intense first)
2θ/deg, I (rel.)
24.8, 100
46.9, 59
32.2, 55
16.4, 51
36.4, 37
53.2, 25
41.1, 25
20.2, 21
57.5, 19
33.2, 14

Unit cell a=5.5518 b=5.5518 c=10.7986 alpha=90.00 beta=90.00 gamma=120.00
Space group P-31c (No. 163)
Symmetry-distinct sites (fractional):
Sr 0.0000 0.0000 0.0000 x2
Pu 0.3333 0.6667 0.2500 x2
Sn 0.3333 0.6667 0.7500 x2
O 0.0032 0.3679 0.1450 x12


2.
This entry pairs a crystal structure of AcSm2Ho3 with its simulated powder XRD pattern. Radiation: Cu Kα X-rays. Structure: a crystal structure in Alexandria, relaxed with GGA-PBE.
Neutral-atom scattering factors, no anomalous dispersion.

Peak list (10 most intense, 15° ≤ 2θ ≤ 90°, most intense first)
2θ/deg, I (rel.)
30.4, 100
35.8, 84
26.2, 58
30.0, 56
40.3, 36
63.3, 32
61.5, 27
54.3, 25
53.6, 25
57.1, 22

Unit cell a=10.534 b=13.510 c=5.948 alpha=90.00 beta=90.00 gamma=90.00
Space group Cmc2_1 (No. 36)
Symmetry-distinct sites (fractional):
Ac 0.000 0.204 0.000 x4
Sm 0.166 0.299 0.499 x8
Ho 0.000 0.066 0.501 x4
Ho 0.168 0.438 0.998 x8


3.
This entry pairs a crystal structure of LaPuAg with its simulated powder XRD pattern. Radiation: Cu Kα X-rays. Structure: a crystal structure in Alexandria, relaxed with GGA-PBE.
Neutral-atom scattering factors, no anomalous dispersion.

Peak list (10 most intense, 15° ≤ 2θ ≤ 90°, most intense first)
2θ/deg, I (rel.)
39.5, 100
36.4, 34
20.6, 27
29.9, 27
42.0, 27
27.6, 24
32.0, 23
45.5, 22
34.7, 20
44.2, 17

Unit cell a=3.326 b=25.833 c=3.367 alpha=90.00 beta=90.00 gamma=90.00
Space group Cmcm (No. 63)
Symmetry-distinct sites (fractional):
La 0.000 0.130 0.250 x4
Pu 0.000 0.264 0.750 x4
Ag 0.000 0.456 0.250 x4


4.
This entry pairs a crystal structure of NaYC with its simulated powder XRD pattern. Radiation: Cu Kα X-rays. Structure: a crystal structure in Alexandria, relaxed with GGA-PBE.
Neutral-atom scattering factors, no anomalous dispersion.

Peak list (10 most intense, 15° ≤ 2θ ≤ 90°, most intense first)
2θ/deg, I (rel.)
28.2, 100
35.8, 54
32.1, 45
20.7, 41
26.7, 39
42.4, 37
35.5, 29
45.0, 27
61.8, 20
38.3, 18

Unit cell a=3.407 b=5.061 c=8.303 alpha=90.00 beta=101.76 gamma=90.00
Space group Pm (No. 6)
Symmetry-distinct sites (fractional):
Na 0.000 0.000 0.000 x1
Na 0.387 0.500 0.777 x1
Y 0.626 0.500 0.254 x1
Y 0.756 0.000 0.516 x1
C 0.231 0.363 0.467 x2